This entry pairs a crystal structure of Cs6Cr2O7 with its computed powder XRD pattern. Radiation: Cu Kα (weighted mean of Kα1 and Kα2). Structure: a PBE+U-relaxed structure.

Top 12 peaks for 10 to 80 degrees two-theta, low angle first:
| two_theta | Rel. int. | index |
| --- | --- | --- |
| 25.13 | 699 | 0 2 2 |
| 25.90 | 1000 | 2 1 -2 |
| 27.24 | 714 | 2 1 -1 |
| 28.11 | 727 | 1 2 -3 |
| 28.33 | 973 | 0 3 1 |
| 28.97 | 907 | 1 0 2 |
| 29.39 | 374 | 1 0 -4 |
| 30.39 | 388 | 2 0 -4 |
| 30.78 | 973 | 1 1 -4 |
| 31.46 | 426 | 2 2 -1 |
| 34.48 | 614 | 1 3 1 |
| 37.75 | 533 | 2 3 -3 |

Crystal structure
abc: 7.333 9.946 12.373
angles: 90.00 125.27 90.00
Sites, in units of the cell vectors:
Cs1 0.047 0.145 0.418
Cs2 0.047 0.355 0.918
Cs3 0.204 0.528 0.452
Cs4 0.204 0.972 0.952
Cs5 0.405 0.212 0.280
Cs6 0.405 0.288 0.780
Cs7 0.595 0.712 0.220
Cs8 0.595 0.788 0.720
Cs9 0.796 0.028 0.048
Cs10 0.796 0.472 0.548
Cs11 0.953 0.645 0.082
Cs12 0.953 0.855 0.582
Cr1 0.326 0.635 0.873
Cr2 0.326 0.865 0.373
Cr3 0.674 0.135 0.627
Cr4 0.674 0.365 0.127
O1 0.077 0.662 0.865
O2 0.077 0.838 0.365
O3 0.262 0.584 0.716
O4 0.262 0.916 0.216
O5 0.499 0.717 0.431
O6 0.499 0.783 0.931
O7 0.500 0.000 0.500
O8 0.500 0.500 0.000
O9 0.501 0.217 0.069
O10 0.501 0.283 0.569
O11 0.738 0.084 0.784
O12 0.738 0.416 0.284
O13 0.923 0.162 0.635
O14 0.923 0.338 0.135